Diffraction record for In11Sb3O24. The XRD peak list is calculated, not measured: it uses DFT lattice parameters and positions (GGA-PBE) and Cu Kα (λ = 1.5418 Å).
Kinematic intensities with the Lorentz-polarization factor, no thermal factor.

a b c (Å): 8.167 8.205 8.261
angles (deg): 71.03 72.07 72.20
Element x y z (fractional)
In  0.000  0.000  0.000
In  0.017  0.799  0.671
In  0.124  0.604  0.320
In  0.191  0.332  0.969
In  0.296  0.134  0.609
In  0.332  0.929  0.285
In  0.482  0.506  0.502
In  0.517  0.297  0.184
In  0.698  0.824  0.455
In  0.801  0.633  0.113
In  0.831  0.437  0.784
Sb  0.412  0.716  0.896
Sb  0.617  0.114  0.829
Sb  0.909  0.210  0.392
O  0.046  0.135  0.168
O  0.084  0.228  0.808
O  0.126  0.076  0.482
O  0.195  0.858  0.801
O  0.235  0.710  0.478
O  0.276  0.801  0.113
O  0.324  0.492  0.029
O  0.326  0.386  0.406
O  0.421  0.300  0.729
O  0.423  0.123  0.055
O  0.487  0.043  0.389
O  0.499  0.953  0.773
O  0.541  0.640  0.673
O  0.583  0.719  0.308
O  0.631  0.581  0.982
O  0.689  0.351  0.308
O  0.723  0.215  0.970
O  0.773  0.275  0.630
O  0.814  0.909  0.885
O  0.825  0.988  0.513
O  0.909  0.798  0.207
O  0.912  0.631  0.562
O  0.990  0.555  0.889
O  0.992  0.434  0.272

The 6 most intense peaks (2θ = 10–90°), low angle first:
2theta  Rel. int.  (hkl)
29.56  93  2 2 2
29.71  100  -1 1 2
30.11  99  2 -1 1
30.27  97  1 2 -1
34.59  77  1 0 3
49.88  53  3 4 1